The following is a calculated XRD peak list of KNbF6. It was derived from a crystal structure in OQMD, relaxed with PBE, using Cu Kα, 1.54184 Å.
Kinematic intensities with the Lorentz-polarization factor, no thermal factor.

```
data_KNbF6
_chemical_formula_sum 'K2 Nb2 F12'
_cell_length_a 4.9666
_cell_length_b 4.9666
_cell_length_c 9.3668
_cell_angle_alpha 90.00
_cell_angle_beta 90.00
_cell_angle_gamma 90.00
_symmetry_space_group_name_H-M 'P 42/m c m'
_symmetry_Int_Tables_number 132
_symmetry_space_group_name_Hall '-P 4c 2c'
loop_
_atom_site_label
_atom_site_type_symbol
_atom_site_fract_x
_atom_site_fract_y
_atom_site_fract_z
K1 K 0.0000 0.0000 0.2500
Nb1 Nb 0.5000 0.5000 0.0000
F1 F 0.2234 0.2234 0.0000
F2 F 0.3097 0.3097 0.3543
```

Main lines, in order of rising 2θ (2θ = 10–90°):
two_theta, I/Imax, h k l
17.9, 50, 1 0 0
25.4, 80, 1 1 0
26.2, 100, 1 0 2
38.6, 23, 1 1 3
45.2, 62, 2 1 2
46.6, 21, 1 1 4

The following is a calculated XRD peak list of Nd4Br4O3. It was derived from a crystal structure in OQMD, relaxed with PBE, using Cu Kα, 1.54184 Å.
Kinematic intensities with the Lorentz-polarization factor, no thermal factor.

```
data_Nd4Br4O3
_chemical_formula_sum 'Nd4 Br4 O3'
_cell_length_a 3.9318
_cell_length_b 7.8899
_cell_length_c 8.7359
_cell_angle_alpha 90.00
_cell_angle_beta 90.00
_cell_angle_gamma 90.00
_symmetry_space_group_name_H-M 'P m m 2'
_symmetry_Int_Tables_number 25
loop_
_symmetry_equiv_pos_as_xyz
'x,y,z'
'-x,-y,z'
'-x,y,z'
'x,-y,z'
loop_
_atom_site_label
_atom_site_type_symbol
_atom_site_fract_x
_atom_site_fract_y
_atom_site_fract_z
Nd1 Nd 0.0000 0.0000 0.0000
Nd2 Nd 0.0000 0.5000 0.0099
Nd3 Nd 0.5000 0.2492 0.7189
Br1 Br 0.0000 0.0000 0.5326
Br2 Br 0.0000 0.5000 0.5414
Br3 Br 0.5000 0.2482 0.1880
O1 O 0.0000 0.2589 0.8619
O2 O 0.5000 0.0000 0.8614
```

Main lines, in order of rising 2θ (2θ = 10–90°):
two_theta, I/Imax, h k l
10.1, 32, 0 0 1
30.6, 100, 1 0 2
32.1, 47, 1 2 0
38.4, 14, 1 2 2
56.3, 18, 1 4 2
56.4, 17, 2 2 2

The following is a calculated XRD peak list of SrAlCdAu. It was derived from a crystal structure in OQMD, relaxed with PBE, using Cu Kα, 1.54184 Å.
Kinematic intensities with the Lorentz-polarization factor, no thermal factor.

```
data_SrAlCdAu
_chemical_formula_sum 'Sr4 Al4 Cd4 Au4'
_cell_length_a 7.2296
_cell_length_b 7.2296
_cell_length_c 7.2296
_cell_angle_alpha 90.00
_cell_angle_beta 90.00
_cell_angle_gamma 90.00
_symmetry_space_group_name_H-M 'F -4 3 m'
_symmetry_Int_Tables_number 216
_symmetry_space_group_name_Hall 'F -4 2 3'
loop_
_atom_site_label
_atom_site_type_symbol
_atom_site_fract_x
_atom_site_fract_y
_atom_site_fract_z
Sr1 Sr 0.0000 0.0000 0.0000
Al1 Al 0.2500 0.2500 0.2500
Cd1 Cd 0.0000 0.0000 0.5000
Au1 Au 0.2500 0.2500 0.7500
```

Main lines, in order of rising 2θ (2θ = 10–90°):
two_theta, I/Imax, h k l
21.3, 37, 1 1 1
35.1, 100, 2 2 0
41.4, 21, 3 1 1
50.5, 18, 4 0 0
63.0, 36, 4 2 2
84.8, 16, 6 2 0

The following is a calculated XRD peak list of Hf3Ni2As4Pd2. It was derived from a crystal structure in OQMD, relaxed with PBE, using Cu Kα, 1.54184 Å.
Kinematic intensities with the Lorentz-polarization factor, no thermal factor.

```
data_Hf3Ni2As4Pd2
_chemical_formula_sum 'Hf3 Ni2 As4 Pd2'
_cell_length_a 6.5520
_cell_length_b 3.8612
_cell_length_c 7.4456
_cell_angle_alpha 90.00
_cell_angle_beta 90.70
_cell_angle_gamma 90.00
_symmetry_space_group_name_H-M 'P 1 m 1'
_symmetry_Int_Tables_number 6
loop_
_symmetry_equiv_pos_as_xyz
'x,y,z'
'x,-y,z'
loop_
_atom_site_label
_atom_site_type_symbol
_atom_site_fract_x
_atom_site_fract_y
_atom_site_fract_z
Hf1 Hf 0.0000 0.0000 0.0000
Hf2 Hf 0.0731 0.5000 0.6152
Hf3 Hf 0.5604 0.5000 0.4861
Ni1 Ni 0.1525 0.5000 0.2512
Ni2 Ni 0.9128 0.0000 0.3634
As1 As 0.2843 0.5000 0.9512
As2 As 0.2858 0.0000 0.3978
As3 As 0.7774 0.5000 0.1969
As4 As 0.7870 0.0000 0.6669
Pd1 Pd 0.3763 0.0000 0.7437
Pd2 Pd 0.6789 0.5000 0.8735
```

Main lines, in order of rising 2θ (2θ = 10–90°):
two_theta, I/Imax, h k l
36.0, 61, 2 1 0
36.3, 100, 1 1 2
37.9, 94, 2 1 -1
38.1, 53, 2 1 1
43.3, 79, 0 1 3
47.1, 58, 0 2 0

The following is a calculated XRD peak list of LaGd2Cu4Ge4. It was derived from a crystal structure in OQMD, relaxed with PBE, using Cu Kα, 1.54184 Å.
Kinematic intensities with the Lorentz-polarization factor, no thermal factor.

```
data_LaGd2Cu4Ge4
_chemical_formula_sum 'La2 Gd4 Cu8 Ge8'
_cell_length_a 4.2500
_cell_length_b 6.8052
_cell_length_c 14.1592
_cell_angle_alpha 90.00
_cell_angle_beta 90.00
_cell_angle_gamma 90.00
_symmetry_space_group_name_H-M 'I m m m'
_symmetry_Int_Tables_number 71
_symmetry_space_group_name_Hall '-I 2 2'
loop_
_atom_site_label
_atom_site_type_symbol
_atom_site_fract_x
_atom_site_fract_y
_atom_site_fract_z
La1 La 0.0000 0.0000 0.0000
Gd1 Gd 0.0000 0.5000 0.1308
Cu1 Cu 0.0000 0.3111 0.3309
Ge1 Ge 0.0000 0.0000 0.2192
Ge2 Ge 0.0000 0.1842 0.5000
```

Main lines, in order of rising 2θ (2θ = 10–90°):
two_theta, I/Imax, h k l
34.3, 100, 1 2 1
35.5, 92, 1 1 4
38.1, 19, 0 0 6
42.5, 34, 2 0 0
44.3, 27, 0 3 3
63.1, 24, 2 3 3

The following is a calculated XRD peak list of GeMo4AuC2. It was derived from a crystal structure in OQMD, relaxed with PBE, using Cu Kα, 1.54184 Å.
Kinematic intensities with the Lorentz-polarization factor, no thermal factor.

```
data_GeMo4AuC2
_chemical_formula_sum 'Ge1 Mo4 Au1 C2'
_cell_length_a 3.1272
_cell_length_b 3.1272
_cell_length_c 13.0884
_cell_angle_alpha 90.00
_cell_angle_beta 90.00
_cell_angle_gamma 120.00
_symmetry_space_group_name_H-M 'P -6 m 2'
_symmetry_Int_Tables_number 187
_symmetry_space_group_name_Hall 'P -6 2'
loop_
_atom_site_label
_atom_site_type_symbol
_atom_site_fract_x
_atom_site_fract_y
_atom_site_fract_z
Ge1 Ge 0.0000 0.0000 0.0000
Mo1 Mo 0.0000 0.0000 0.3243
Mo2 Mo 0.3333 0.6667 0.1526
Au1 Au 0.3333 0.6667 0.5000
C1 C 0.6667 0.3333 0.2426
```

Main lines, in order of rising 2θ (2θ = 10–90°):
two_theta, I/Imax, h k l
33.1, 26, 1 0 0
39.2, 100, 1 0 3
41.4, 16, 0 0 6
59.1, 21, 1 1 0
73.2, 16, 2 0 3
74.7, 17, 1 1 6